Simulated powder X-ray diffraction pattern
Compound: Li2LuUS4
Radiation: Cu Kα (weighted mean of Kα1 and Kα2)
Structure: DFT lattice parameters and positions (PBE)

Atomic structure:
```
Li2LuUS4
1.0
-2.6958 2.6958 5.4913
2.6958 -2.6958 5.4913
2.6958 2.6958 -5.4913
Li Lu U S
2 1 1 4
Direct
0.0000 0.0000 0.0000 Li
0.7500 0.2500 0.5000 Li
0.5000 0.5000 0.0000 Lu
0.2500 0.7500 0.5000 U
0.2560 0.2560 0.0000 S
0.5008 0.0008 0.5000 S
0.7440 0.7440 0.0000 S
0.9992 0.4992 0.5000 S
```

The 10 most intense peaks (15 to 90 degrees two-theta), in order of rising 2θ:
| d [Å] | 2θ/deg | intensity |
| --- | --- | --- |
| 4.840 | 18.33 | 100 |
| 3.132 | 28.50 | 33 |
| 3.029 | 29.49 | 31 |
| 2.746 | 32.61 | 24 |
| 2.696 | 33.23 | 45 |
| 2.355 | 38.21 | 33 |
| 2.014 | 45.02 | 20 |
| 1.924 | 47.25 | 33 |
| 1.906 | 47.71 | 16 |
| 1.566 | 58.99 | 17 |